Record 1
The following is a theoretical powder diffractogram of HoTlV2O8. It was derived from a structure optimized by DFT (GGA+U), using Cu Kα (λ = 1.5418 Å).
Intensities are scaled so that the largest is 100.

The 10 most intense peaks (2θ = 10–90°), in order of falling intensity:
2θ/deg  d/Å  I_rel
24.88  3.578  100
33.04  2.711  77
49.26  1.850  61
18.56  4.780  53
35.48  2.530  23
31.23  2.864  21
62.16  1.493  17
40.33  2.236  16
51.05  1.789  16
47.98  1.896  15

Atomic structure:
```
12
Lattice="-3.5781 3.5781 3.2110 3.5781 -3.5781 3.2110 3.5781 3.5781 -3.2110" Properties=species:S:1:pos:R:3 pbc="T T T"
Ho 0.0000 0.0000 0.0000
Tl 3.5781 0.0000 1.6055
V 0.0000 0.0000 3.2110
V 0.0000 3.5781 1.6055
O 2.2548 3.5781 -1.1369
O 1.3234 0.0000 2.0741
O 0.0000 2.2102 0.5281
O 3.5781 2.2548 1.1369
O 0.0000 4.9461 0.5281
O 0.0000 1.3234 4.3479
O -1.3680 3.5781 2.6829
O 1.3680 3.5781 2.6829
```

Record 2
The following is a theoretical powder diffractogram of HoTl2W3O12. It was derived from a structure optimized by DFT (GGA+U), using Cu Kα (λ = 1.5418 Å).
Intensities are scaled so that the largest is 100.

The 10 most intense peaks (2θ = 10–90°), in order of falling intensity:
2θ/deg  d/Å  I_rel
27.65  3.226  100
28.22  3.163  35
27.86  3.202  34
44.20  2.049  31
48.54  1.876  28
57.09  1.613  28
29.05  3.073  22
49.60  1.838  21
67.73  1.383  16
14.41  6.147  16

Atomic structure:
```
18
Lattice="3.7511 2.1657 6.3254 -3.7511 2.1657 6.3254 0.0000 -4.3314 6.3254" Properties=species:S:1:pos:R:3 pbc="T T T"
Ho 0.0000 0.0000 0.0000
Tl 0.0000 0.0000 6.3950
Tl 0.0000 0.0000 12.5814
W -3.7511 0.0000 9.4882
W -1.8756 1.0829 3.1627
W 1.8756 1.0829 3.1627
O -2.3886 -1.3791 9.2732
O 0.0000 -2.4584 5.0555
O -2.1291 1.2292 5.0555
O 0.0000 -2.7582 9.7032
O -2.3886 1.3791 9.7032
O -2.1291 -1.2292 13.9208
O 2.1291 1.2292 5.0555
O 2.3886 -1.3791 9.2732
O 0.0000 2.7582 9.2732
O 2.1291 -1.2292 13.9208
O 0.0000 2.4585 13.9208
O 2.3886 1.3791 9.7032
```